1.
Calculated XRD peak list of Tl2ZnSb2 for copper Kα, from a PBE-relaxed structure.
Peak positions follow from Bragg's law for the DFT cell and can differ from measured ones.

Principal peaks in the range 10 to 90 degrees two-theta, sorted by position:
| 2θ/deg | d (Å) | I/Imax |
| --- | --- | --- |
| 21.09 | 4.213 | 49 |
| 28.76 | 3.104 | 100 |
| 29.38 | 3.040 | 37 |
| 35.06 | 2.559 | 22 |
| 35.94 | 2.499 | 51 |
| 41.13 | 2.195 | 38 |
| 45.96 | 1.975 | 20 |
| 46.66 | 1.946 | 25 |

Crystal structure
Unit cell a=6.208 b=6.208 c=8.427 alpha=90.00 beta=90.00 gamma=90.00
Sites, in units of the cell vectors:
1 Tl 0.000 0.500 0.250
2 Tl 0.000 0.500 0.750
3 Tl 0.500 0.000 0.250
4 Tl 0.500 0.000 0.750
5 Zn 0.000 0.000 0.000
6 Zn 0.500 0.500 0.500
7 Sb 0.000 0.000 0.320
8 Sb 0.000 0.000 0.680
9 Sb 0.500 0.500 0.180
10 Sb 0.500 0.500 0.820

2.
Calculated XRD peak list of Tl4Zn5Sb6 for copper Kα, from a PBE-relaxed structure.
Peak positions follow from Bragg's law for the DFT cell and can differ from measured ones.

Principal peaks in the range 10 to 90 degrees two-theta, sorted by position:
| 2θ/deg | d (Å) | I/Imax |
| --- | --- | --- |
| 26.68 | 3.341 | 63 |
| 28.47 | 3.135 | 76 |
| 29.19 | 3.059 | 100 |
| 31.06 | 2.879 | 44 |
| 33.05 | 2.711 | 71 |
| 35.73 | 2.513 | 53 |
| 39.42 | 2.286 | 80 |
| 41.90 | 2.156 | 40 |

Crystal structure
Unit cell a=10.542 b=10.542 c=17.623 alpha=90.00 beta=90.00 gamma=154.95
Sites, in units of the cell vectors:
1 Tl 0.015 0.985 0.500
2 Tl 0.018 0.982 0.253
3 Tl 0.178 0.822 0.804
4 Tl 0.183 0.817 0.441
5 Tl 0.817 0.183 0.941
6 Tl 0.822 0.178 0.304
7 Tl 0.982 0.018 0.753
8 Tl 0.985 0.015 0.000
9 Zn 0.134 0.866 0.125
10 Zn 0.283 0.717 0.124
11 Zn 0.361 0.639 0.748
12 Zn 0.363 0.637 0.479
13 Zn 0.430 0.570 0.175
14 Zn 0.570 0.430 0.675
15 Zn 0.637 0.363 0.979
16 Zn 0.639 0.361 0.248
17 Zn 0.717 0.283 0.624
18 Zn 0.866 0.134 0.625
19 Sb 0.134 0.866 0.621
20 Sb 0.210 0.790 0.993
21 Sb 0.213 0.787 0.254
22 Sb 0.432 0.568 0.345
23 Sb 0.432 0.568 0.882
24 Sb 0.442 0.558 0.613
25 Sb 0.558 0.442 0.113
26 Sb 0.568 0.432 0.382
27 Sb 0.568 0.432 0.845
28 Sb 0.787 0.213 0.754
29 Sb 0.790 0.210 0.493
30 Sb 0.866 0.134 0.121

3.
Calculated XRD peak list of Tm4Sb3 for copper Kα, from a PBE-relaxed structure.
Peak positions follow from Bragg's law for the DFT cell and can differ from measured ones.

Principal peaks in the range 10 to 90 degrees two-theta, sorted by position:
| 2θ/deg | d (Å) | I/Imax |
| --- | --- | --- |
| 25.55 | 3.487 | 14 |
| 30.10 | 2.969 | 100 |
| 38.38 | 2.345 | 11 |
| 41.94 | 2.154 | 44 |
| 44.22 | 2.048 | 28 |
| 52.49 | 1.743 | 21 |
| 69.34 | 1.355 | 18 |
| 78.21 | 1.222 | 10 |

Crystal structure
Unit cell a=13.302 b=13.302 c=13.302 alpha=18.64 beta=18.64 gamma=18.64
Sites, in units of the cell vectors:
1 Tm 0.123 0.123 0.123
2 Tm 0.368 0.368 0.368
3 Tm 0.632 0.632 0.632
4 Tm 0.877 0.877 0.877
5 Sb 0.257 0.257 0.257
6 Sb 0.500 0.500 0.500
7 Sb 0.743 0.743 0.743

4.
Calculated XRD peak list of Y5TmSb4 for copper Kα, from a PBE-relaxed structure.
Peak positions follow from Bragg's law for the DFT cell and can differ from measured ones.

Principal peaks in the range 10 to 90 degrees two-theta, sorted by position:
| 2θ/deg | d (Å) | I/Imax |
| --- | --- | --- |
| 10.94 | 8.089 | 26 |
| 29.78 | 3.000 | 100 |
| 29.91 | 2.987 | 48 |
| 42.06 | 2.148 | 57 |
| 43.17 | 2.096 | 18 |
| 43.36 | 2.087 | 34 |
| 52.47 | 1.744 | 19 |
| 69.30 | 1.356 | 17 |

Crystal structure
Unit cell a=9.540 b=9.540 c=8.390 alpha=104.97 beta=104.97 gamma=26.03
Sites, in units of the cell vectors:
1 Y 0.000 0.000 0.000
2 Y 0.323 0.323 0.149
3 Y 0.336 0.336 0.676
4 Y 0.664 0.664 0.324
5 Y 0.677 0.677 0.851
6 Tm 0.000 0.000 0.500
7 Sb 0.168 0.168 0.588
8 Sb 0.493 0.493 0.246
9 Sb 0.507 0.507 0.754
10 Sb 0.832 0.832 0.412

5.
Calculated XRD peak list of Y4TmSb5 for copper Kα, from a PBE-relaxed structure.
Peak positions follow from Bragg's law for the DFT cell and can differ from measured ones.

Principal peaks in the range 10 to 90 degrees two-theta, sorted by position:
| 2θ/deg | d (Å) | I/Imax |
| --- | --- | --- |
| 16.93 | 5.236 | 2 |
| 28.82 | 3.098 | 100 |
| 41.21 | 2.191 | 75 |
| 51.07 | 1.789 | 27 |
| 59.70 | 1.549 | 12 |
| 67.62 | 1.385 | 34 |
| 75.12 | 1.265 | 25 |
| 89.48 | 1.095 | 8 |

Crystal structure
Unit cell a=7.588 b=7.588 c=7.588 alpha=99.59 beta=99.59 gamma=131.81
Sites, in units of the cell vectors:
1 Y 0.099 0.700 0.799
2 Y 0.300 0.099 0.399
3 Y 0.700 0.901 0.601
4 Y 0.901 0.300 0.201
5 Tm 0.500 0.500 0.000
6 Sb 0.000 0.000 0.000
7 Sb 0.202 0.400 0.603
8 Sb 0.400 0.798 0.198
9 Sb 0.600 0.202 0.802
10 Sb 0.798 0.600 0.397

6.
Calculated XRD peak list of Y5Tm5Sb6 for copper Kα, from a PBE-relaxed structure.
Peak positions follow from Bragg's law for the DFT cell and can differ from measured ones.

Principal peaks in the range 10 to 90 degrees two-theta, sorted by position:
| 2θ/deg | d (Å) | I/Imax |
| --- | --- | --- |
| 11.45 | 7.729 | 33 |
| 30.61 | 2.921 | 33 |
| 30.75 | 2.908 | 18 |
| 33.85 | 2.648 | 79 |
| 34.83 | 2.576 | 62 |
| 34.95 | 2.567 | 100 |
| 50.18 | 1.818 | 26 |
| 70.23 | 1.340 | 16 |

Crystal structure
Unit cell a=6.278 b=8.917 c=8.917 alpha=119.87 beta=90.00 gamma=90.00
Sites, in units of the cell vectors:
1 Y 0.000 0.000 0.000
2 Y 0.000 0.250 0.496
3 Y 0.000 0.496 0.250
4 Y 0.500 0.002 0.249
5 Y 0.500 0.249 0.002
6 Tm 0.250 0.582 0.916
7 Tm 0.250 0.916 0.582
8 Tm 0.500 0.496 0.496
9 Tm 0.750 0.582 0.916
10 Tm 0.750 0.916 0.582
11 Sb 0.000 0.249 0.858
12 Sb 0.000 0.640 0.640
13 Sb 0.000 0.858 0.249
14 Sb 0.500 0.251 0.639
15 Sb 0.500 0.639 0.251
16 Sb 0.500 0.857 0.857

7.
Calculated XRD peak list of Tm3ZnSb for copper Kα, from a PBE-relaxed structure.
Peak positions follow from Bragg's law for the DFT cell and can differ from measured ones.

Principal peaks in the range 10 to 90 degrees two-theta, sorted by position:
| 2θ/deg | d (Å) | I/Imax |
| --- | --- | --- |
| 27.09 | 3.292 | 67 |
| 30.49 | 2.932 | 30 |
| 32.10 | 2.788 | 100 |
| 33.60 | 2.667 | 53 |
| 33.84 | 2.649 | 35 |
| 34.15 | 2.626 | 51 |
| 36.45 | 2.465 | 29 |
| 43.37 | 2.086 | 43 |

Crystal structure
Unit cell a=8.727 b=8.727 c=8.313 alpha=110.98 beta=110.98 gamma=27.66
Sites, in units of the cell vectors:
1 Tm 0.084 0.084 0.174
2 Tm 0.235 0.235 0.681
3 Tm 0.414 0.414 0.182
4 Tm 0.586 0.586 0.818
5 Tm 0.765 0.765 0.319
6 Tm 0.916 0.916 0.826
7 Zn 0.210 0.210 0.023
8 Zn 0.790 0.790 0.977
9 Sb 0.389 0.389 0.542
10 Sb 0.611 0.611 0.458

8.
Calculated XRD peak list of Tm3ZrSb4 for copper Kα, from a PBE-relaxed structure.
Peak positions follow from Bragg's law for the DFT cell and can differ from measured ones.

Principal peaks in the range 10 to 90 degrees two-theta, sorted by position:
| 2θ/deg | d (Å) | I/Imax |
| --- | --- | --- |
| 29.53 | 3.025 | 100 |
| 42.18 | 2.142 | 38 |
| 42.32 | 2.136 | 37 |
| 52.33 | 1.748 | 20 |
| 61.29 | 1.513 | 12 |
| 69.35 | 1.355 | 11 |
| 69.58 | 1.351 | 17 |
| 77.23 | 1.235 | 10 |

Crystal structure
Unit cell a=7.414 b=8.577 c=7.390 alpha=90.00 beta=109.54 gamma=90.00
Sites, in units of the cell vectors:
1 Tm 0.000 0.125 0.250
2 Tm 0.000 0.375 0.750
3 Tm 0.000 0.625 0.250
4 Tm 0.000 0.875 0.750
5 Tm 0.500 0.125 0.750
6 Tm 0.500 0.875 0.250
7 Zr 0.500 0.377 0.250
8 Zr 0.500 0.623 0.750
9 Sb 0.254 0.129 0.004
10 Sb 0.254 0.871 0.504
11 Sb 0.257 0.378 0.499
12 Sb 0.257 0.622 0.999
13 Sb 0.743 0.378 0.001
14 Sb 0.743 0.622 0.501
15 Sb 0.746 0.129 0.496
16 Sb 0.746 0.871 0.996

9.
Calculated XRD peak list of Y4USb5 for copper Kα, from a PBE-relaxed structure.
Peak positions follow from Bragg's law for the DFT cell and can differ from measured ones.

Principal peaks in the range 10 to 90 degrees two-theta, sorted by position:
| 2θ/deg | d (Å) | I/Imax |
| --- | --- | --- |
| 16.90 | 5.246 | 6 |
| 28.78 | 3.102 | 100 |
| 41.15 | 2.194 | 76 |
| 50.99 | 1.791 | 27 |
| 59.61 | 1.551 | 13 |
| 67.52 | 1.387 | 35 |
| 75.00 | 1.266 | 26 |
| 89.32 | 1.097 | 9 |

Crystal structure
Unit cell a=7.597 b=7.597 c=7.597 alpha=99.61 beta=99.61 gamma=131.76
Sites, in units of the cell vectors:
1 Y 0.099 0.300 0.400
2 Y 0.300 0.901 0.201
3 Y 0.700 0.099 0.799
4 Y 0.901 0.700 0.600
5 U 0.500 0.500 0.000
6 Sb 0.000 0.000 0.000
7 Sb 0.202 0.599 0.801
8 Sb 0.401 0.202 0.603
9 Sb 0.599 0.798 0.397
10 Sb 0.798 0.401 0.199

10.
Calculated XRD peak list of U2ZnSb4 for copper Kα, from a PBE-relaxed structure.
Peak positions follow from Bragg's law for the DFT cell and can differ from measured ones.

Principal peaks in the range 10 to 90 degrees two-theta, sorted by position:
| 2θ/deg | d (Å) | I/Imax |
| --- | --- | --- |
| 22.43 | 3.964 | 18 |
| 27.65 | 3.226 | 16 |
| 30.52 | 2.929 | 12 |
| 34.61 | 2.592 | 100 |
| 41.56 | 2.173 | 31 |
| 51.77 | 1.766 | 14 |
| 68.46 | 1.370 | 13 |
| 71.35 | 1.322 | 22 |

Crystal structure
Unit cell a=4.346 b=4.346 c=9.663 alpha=90.00 beta=90.00 gamma=90.00
Sites, in units of the cell vectors:
1 U 0.000 0.500 0.249
2 U 0.500 0.000 0.751
3 Zn 0.500 0.500 0.000
4 Sb 0.000 0.000 0.500
5 Sb 0.000 0.500 0.834
6 Sb 0.500 0.000 0.166
7 Sb 0.500 0.500 0.500

11.
Calculated XRD peak list of V4Sb for copper Kα, from a PBE-relaxed structure.
Peak positions follow from Bragg's law for the DFT cell and can differ from measured ones.

Principal peaks in the range 10 to 90 degrees two-theta, sorted by position:
| 2θ/deg | d (Å) | I/Imax |
| --- | --- | --- |
| 28.84 | 3.096 | 26 |
| 38.81 | 2.320 | 83 |
| 39.44 | 2.285 | 47 |
| 41.18 | 2.192 | 100 |
| 47.07 | 1.931 | 20 |
| 68.76 | 1.365 | 17 |
| 72.71 | 1.300 | 17 |
| 82.27 | 1.172 | 21 |

Crystal structure
Unit cell a=5.461 b=6.192 c=4.569 alpha=90.00 beta=90.00 gamma=90.00
Sites, in units of the cell vectors:
1 V 0.024 0.179 0.000
2 V 0.210 0.015 0.500
3 V 0.290 0.515 0.000
4 V 0.476 0.679 0.500
5 V 0.524 0.321 0.500
6 V 0.710 0.485 0.000
7 V 0.790 0.985 0.500
8 V 0.976 0.821 0.000
9 Sb 0.000 0.500 0.500
10 Sb 0.500 0.000 0.000

12.
Calculated XRD peak list of SbW2 for copper Kα, from a PBE-relaxed structure.
Peak positions follow from Bragg's law for the DFT cell and can differ from measured ones.

Principal peaks in the range 10 to 90 degrees two-theta, sorted by position:
| 2θ/deg | d (Å) | I/Imax |
| --- | --- | --- |
| 34.05 | 2.633 | 42 |
| 37.78 | 2.381 | 47 |
| 38.46 | 2.341 | 100 |
| 39.72 | 2.269 | 69 |
| 40.49 | 2.228 | 33 |
| 42.87 | 2.109 | 34 |
| 52.77 | 1.735 | 18 |
| 64.74 | 1.440 | 27 |

Crystal structure
Unit cell a=10.423 b=3.131 c=7.050 alpha=90.00 beta=108.54 gamma=90.00
Sites, in units of the cell vectors:
1 Sb 0.174 0.000 0.148
2 Sb 0.326 0.500 0.852
3 Sb 0.674 0.500 0.148
4 Sb 0.826 0.000 0.852
5 W 0.045 0.500 0.787
6 W 0.129 0.000 0.533
7 W 0.371 0.500 0.467
8 W 0.455 0.000 0.213
9 W 0.545 0.000 0.787
10 W 0.629 0.500 0.533
11 W 0.871 0.000 0.467
12 W 0.955 0.500 0.213